Diffraction record for Ac2BiAs2O2. The powder XRD pattern is simulated, not measured: it uses a cell relaxed with GGA-PBE and Cu Ka.
No peak broadening, texture or thermal motion is included.

Main lines, low angle first (5° ≤ 2θ ≤ 70°):
| two_theta | intensity | index |
| --- | --- | --- |
| 6.3 | 18.5 | 0 0 1 |
| 19.0 | 18.6 | 0 0 3 |
| 26.4 | 100.0 | 1 0 1 |
| 28.6 | 43.6 | 0 1 2 |
| 31.9 | 23.2 | 0 0 5 |
| 32.0 | 18.6 | 0 1 3 |
| 36.3 | 44.7 | 0 1 4 |
| 45.1 | 34.5 | 1 1 0 |
| 46.8 | 20.5 | 1 0 6 |
| 56.3 | 32.3 | 1 1 5 |

Structure:
```
data_Ac2BiAs2O2
_chemical_formula_sum 'Ac2 Bi1 As2 O2'
_symmetry_space_group_name_H-M 'P -3 m 1'
_symmetry_Int_Tables_number 164
_symmetry_space_group_name_Hall '-P 3 2"'
_cell_length_a 4.0237
_cell_length_b 4.0237
_cell_length_c 14.0304
_cell_angle_alpha 90.00
_cell_angle_beta 90.00
_cell_angle_gamma 120.00
loop_
_atom_site_label
_atom_site_type_symbol
_atom_site_fract_x
_atom_site_fract_y
_atom_site_fract_z
Ac1 Ac 0.3333 0.6667 0.1192
Bi1 Bi 0.0000 0.0000 0.5000
As1 As 0.0000 0.0000 0.2938
O1 O 0.3333 0.6667 0.9329
```

---

Diffraction record for Cs5Hf2O6. The powder XRD pattern is simulated, not measured: it uses a cell relaxed with GGA-PBE and Cu Ka.
No peak broadening, texture or thermal motion is included.

Main lines, low angle first (5° ≤ 2θ ≤ 70°):
| two_theta | intensity | index |
| --- | --- | --- |
| 13.8 | 45.2 | 1 1 -1 |
| 14.2 | 40.5 | 1 1 1 |
| 23.8 | 100.0 | 0 2 2 |
| 24.8 | 45.8 | 3 1 0 |
| 25.2 | 48.1 | 3 1 -1 |
| 25.7 | 93.1 | 1 1 -4 |
| 26.8 | 41.2 | 3 1 -2 |
| 27.0 | 35.8 | 0 2 3 |
| 27.9 | 70.9 | 2 0 4 |
| 44.0 | 38.3 | 2 2 6 |

Structure:
```
data_Cs5Hf2O6
_chemical_formula_sum 'Cs20 Hf8 O24'
_symmetry_space_group_name_H-M 'C 1 2/c 1'
_symmetry_Int_Tables_number 15
_symmetry_space_group_name_Hall '-C 2yc'
_cell_length_a 11.907
_cell_length_b 8.477
_cell_length_c 15.758
_cell_angle_alpha 90.00
_cell_angle_beta 93.21
_cell_angle_gamma 90.00
loop_
_atom_site_label
_atom_site_type_symbol
_atom_site_fract_x
_atom_site_fract_y
_atom_site_fract_z
Cs1 Cs 0.000 0.046 0.250
Cs2 Cs 0.045 0.245 0.971
Cs3 Cs 0.151 0.496 0.698
Hf1 Hf 0.228 0.355 0.422
O1 O 0.083 0.444 0.388
O2 O 0.165 0.140 0.666
O3 O 0.206 0.125 0.455
```